(1)
Theoretical X-ray diffraction stick pattern
Compound: NdZnSiH2O5
Radiation: CuKα
Structure: a PBE-relaxed structure

Largest 6 diffraction maxima, in order of rising 2θ, 2θ from 15° to 90°:
2θ 18.80, d 4.719, I = 46; 2θ 19.56, d 4.537, I = 58; 2θ 27.70, d 3.221, I = 100; 2θ 31.27, d 2.860, I = 69; 2θ 33.54, d 2.672, I = 50; 2θ 38.89, d 2.316, I = 39

```
NdZnSiH2O5
1.0
2.5104 -7.9401 0.0000
2.5104 7.9401 0.0000
-0.9885 0.0000 5.5290
Nd Zn Si H O
2 2 2 4 10
direct
0.0860 0.9140 0.5000 Nd
0.9140 0.0860 0.0000 Nd
0.2729 0.6929 0.8627 Zn
0.6929 0.2729 0.3627 Zn
0.5082 0.7741 0.3884 Si
0.7741 0.5082 0.8884 Si
0.1904 0.3535 0.5403 H
0.3535 0.1904 0.0403 H
0.4371 0.4626 0.7369 H
0.4626 0.4371 0.2369 H
0.1772 0.4438 0.3500 O
0.2253 0.2967 0.6832 O
0.2967 0.2253 0.1832 O
0.4438 0.1772 0.8500 O
0.5620 0.9549 0.1925 O
0.6005 0.9223 0.6671 O
0.7124 0.7898 0.3211 O
0.7898 0.7124 0.8211 O
0.9223 0.6005 0.1671 O
0.9549 0.5620 0.6925 O
```

---

(2)
Theoretical X-ray diffraction stick pattern
Compound: Na4NbSe4
Radiation: CuKα
Structure: a PBE-relaxed structure

Largest 6 diffraction maxima, in order of rising 2θ, 2θ from 15° to 90°:
2θ 16.38, d 5.412, I = 94; 2θ 25.18, d 3.536, I = 77; 2θ 27.53, d 3.240, I = 100; 2θ 34.97, d 2.566, I = 59; 2θ 37.25, d 2.414, I = 35; 2θ 44.98, d 2.015, I = 54

```
Na4NbSe4
1.0
8.0912 0.0000 0.0000
0.0000 8.0912 0.0000
0.0000 0.0000 7.2792
Na Nb Se
8 2 8
direct
0.0923 0.3034 0.4707 Na
0.1966 0.4077 0.9707 Na
0.3034 0.9077 0.5293 Na
0.4077 0.8034 0.0293 Na
0.5923 0.1966 0.0293 Na
0.6966 0.0923 0.5293 Na
0.8034 0.5923 0.9707 Na
0.9077 0.6966 0.4707 Na
0.0000 0.0000 0.0000 Nb
0.5000 0.5000 0.5000 Nb
0.0934 0.7603 0.8127 Se
0.2397 0.0934 0.1873 Se
0.2603 0.5934 0.3127 Se
0.4066 0.2603 0.6873 Se
0.5934 0.7397 0.6873 Se
0.7397 0.4066 0.3127 Se
0.7603 0.9066 0.1873 Se
0.9066 0.2397 0.8127 Se
```

---

(3)
Theoretical X-ray diffraction stick pattern
Compound: Pr2HoP3
Radiation: CuKα
Structure: a PBE-relaxed structure

Largest 6 diffraction maxima, in order of rising 2θ, 2θ from 15° to 90°:
2θ 26.43, d 3.373, I = 82; 2θ 30.61, d 2.921, I = 100; 2θ 43.83, d 2.065, I = 73; 2θ 51.91, d 1.761, I = 41; 2θ 54.41, d 1.686, I = 26; 2θ 72.34, d 1.306, I = 32

```
Pr2HoP3
1.0
4.1312 0.0000 0.0000
-2.0656 3.5777 0.0000
0.0000 0.0000 10.1156
Pr Ho P
2 1 3
direct
0.3333 0.6667 0.3278 Pr
0.6667 0.3333 0.6722 Pr
0.0000 0.0000 0.0000 Ho
0.0000 0.0000 0.5000 P
0.3333 0.6667 0.8446 P
0.6667 0.3333 0.1554 P
```

---

(4)
Theoretical X-ray diffraction stick pattern
Compound: LuMgNO
Radiation: CuKα
Structure: a PBE-relaxed structure

Largest 6 diffraction maxima, in order of rising 2θ, 2θ from 15° to 90°:
2θ 20.00, d 4.440, I = 69; 2θ 27.44, d 3.250, I = 70; 2θ 34.19, d 2.623, I = 100; 2θ 39.20, d 2.298, I = 63; 2θ 44.38, d 2.041, I = 36; 2θ 57.74, d 1.597, I = 39

```
LuMgNO
1.0
3.2505 0.0000 0.0000
0.0000 3.2505 0.0000
0.0000 0.0000 4.4400
Lu Mg N O
1 1 1 1
direct
0.0000 0.0000 0.0000 Lu
0.5000 0.5000 0.5000 Mg
0.5000 0.5000 0.0000 N
0.0000 0.0000 0.5000 O
```

---

(5)
Theoretical X-ray diffraction stick pattern
Compound: NpBeZn
Radiation: CuKα
Structure: a PBE-relaxed structure

Largest 6 diffraction maxima, in order of rising 2θ, 2θ from 15° to 90°:
2θ 24.69, d 3.606, I = 100; 2θ 28.58, d 3.123, I = 26; 2θ 40.87, d 2.208, I = 70; 2θ 48.33, d 1.883, I = 52; 2θ 65.10, d 1.433, I = 21; 2θ 74.42, d 1.275, I = 24

```
NpBeZn
1.0
0.0000 3.1228 3.1228
3.1228 0.0000 3.1228
3.1228 3.1228 0.0000
Np Be Zn
1 1 1
direct
0.0000 0.0000 0.0000 Np
0.5000 0.5000 0.5000 Be
0.7500 0.7500 0.7500 Zn
```

---

(6)
Theoretical X-ray diffraction stick pattern
Compound: YTm2Al3AgGe2
Radiation: CuKα
Structure: a PBE-relaxed structure

Largest 6 diffraction maxima, in order of rising 2θ, 2θ from 15° to 90°:
2θ 20.84, d 4.262, I = 35; 2θ 33.09, d 2.707, I = 100; 2θ 36.26, d 2.478, I = 41; 2θ 36.37, d 2.470, I = 98; 2θ 42.41, d 2.131, I = 36; 2θ 44.81, d 2.022, I = 48

```
YTm2Al3AgGe2
1.0
4.2624 0.0000 0.0000
0.0000 6.0899 3.4953
0.0000 -6.0899 3.4953
Y Tm Al Ag Ge
1 2 3 1 2
direct
0.0000 0.0000 0.0000 Y
0.0000 0.1689 0.5856 Tm
0.0000 0.5856 0.1689 Tm
0.5000 0.3440 0.3440 Al
0.5000 0.5845 0.8242 Al
0.5000 0.8242 0.5845 Al
0.0000 0.5787 0.5787 Ag
0.5000 0.2540 0.9170 Ge
0.5000 0.9170 0.2540 Ge
```

---

(7)
Theoretical X-ray diffraction stick pattern
Compound: YCu3C3
Radiation: CuKα
Structure: a PBE-relaxed structure

Largest 6 diffraction maxima, in order of rising 2θ, 2θ from 15° to 90°:
2θ 31.62, d 2.830, I = 100; 2θ 34.07, d 2.631, I = 48; 2θ 37.26, d 2.413, I = 56; 2θ 41.05, d 2.199, I = 67; 2θ 45.32, d 2.001, I = 56; 2θ 52.39, d 1.746, I = 67

```
YCu3C3
1.0
3.4929 0.0000 0.0000
-1.7465 3.0250 0.0000
0.0000 0.0000 16.0072
Y Cu C
2 6 6
direct
0.0000 0.0000 0.0000 Y
0.0000 0.0000 0.5000 Y
0.3333 0.6667 0.1337 Cu
0.3333 0.6667 0.3663 Cu
0.3333 0.6667 0.7500 Cu
0.6667 0.3333 0.2500 Cu
0.6667 0.3333 0.6337 Cu
0.6667 0.3333 0.8663 Cu
0.3333 0.6667 0.2500 C
0.3333 0.6667 0.5955 C
0.3333 0.6667 0.9045 C
0.6667 0.3333 0.0955 C
0.6667 0.3333 0.4045 C
0.6667 0.3333 0.7500 C
```

---

(8)
Theoretical X-ray diffraction stick pattern
Compound: BW6C2
Radiation: CuKα
Structure: a PBE-relaxed structure

Largest 6 diffraction maxima, in order of rising 2θ, 2θ from 15° to 90°:
2θ 33.63, d 2.665, I = 22; 2θ 38.34, d 2.348, I = 22; 2θ 38.86, d 2.318, I = 100; 2θ 51.90, d 1.762, I = 16; 2θ 60.15, d 1.538, I = 20; 2θ 69.67, d 1.350, I = 18

```
BW6C2
1.0
2.6645 -4.6155 0.0000
2.6645 4.6155 0.0000
-0.0110 0.0000 9.3919
B W C
2 12 4
direct
0.1667 0.8333 0.7500 B
0.8333 0.1667 0.2500 B
0.1661 0.1698 0.6222 W
0.1670 0.4968 0.8778 W
0.1698 0.1661 0.1222 W
0.1707 0.5041 0.3778 W
0.4959 0.8293 0.1222 W
0.4968 0.1670 0.3778 W
0.5032 0.8330 0.6222 W
0.5041 0.1707 0.8778 W
0.8293 0.4959 0.6222 W
0.8302 0.8339 0.8778 W
0.8330 0.5032 0.1222 W
0.8339 0.8302 0.3778 W
0.1667 0.8333 0.2500 C
0.5000 0.5000 0.2500 C
0.5000 0.5000 0.7500 C
0.8333 0.1667 0.7500 C
```

---

(9)
Theoretical X-ray diffraction stick pattern
Compound: ZnPd15
Radiation: CuKα
Structure: a PBE-relaxed structure

Largest 6 diffraction maxima, in order of rising 2θ, 2θ from 15° to 90°:
2θ 37.58, d 2.394, I = 25; 2θ 39.65, d 2.273, I = 66; 2θ 39.78, d 2.266, I = 100; 2θ 46.18, d 1.966, I = 64; 2θ 67.40, d 1.389, I = 34; 2θ 81.20, d 1.185, I = 32

```
ZnPd15
1.0
5.5531 0.0000 0.0000
0.0000 3.9273 0.0000
-0.0054 0.0000 36.2314
Zn Pd
2 30
direct
0.1251 0.2500 0.2155 Zn
0.8749 0.7500 0.7845 Zn
0.1232 0.2500 0.7540 Pd
0.1244 0.2500 0.6745 Pd
0.1250 0.2500 0.2872 Pd
0.1250 0.2500 0.3648 Pd
0.1250 0.2500 0.4422 Pd
0.1252 0.2500 0.5193 Pd
0.1252 0.2500 0.5966 Pd
0.3731 0.7500 0.2461 Pd
0.3743 0.7500 0.3255 Pd
0.3751 0.7500 0.4034 Pd
0.3752 0.7500 0.4807 Pd
0.3750 0.7500 0.5580 Pd
0.3750 0.7500 0.6358 Pd
0.3750 0.7500 0.7131 Pd
0.3751 0.7500 0.7892 Pd
0.6249 0.2500 0.2108 Pd
0.6250 0.2500 0.2869 Pd
0.6250 0.2500 0.3642 Pd
0.6250 0.2500 0.4420 Pd
0.6248 0.2500 0.5193 Pd
0.6249 0.2500 0.5966 Pd
0.6257 0.2500 0.6745 Pd
0.6269 0.2500 0.7539 Pd
0.8748 0.7500 0.4034 Pd
0.8748 0.7500 0.4807 Pd
0.8750 0.7500 0.5578 Pd
0.8750 0.7500 0.6352 Pd
0.8750 0.7500 0.7128 Pd
0.8756 0.7500 0.3255 Pd
0.8768 0.7500 0.2460 Pd
```

---

(10)
Theoretical X-ray diffraction stick pattern
Compound: AuSe6Br
Radiation: CuKα
Structure: a PBE-relaxed structure

Largest 6 diffraction maxima, in order of rising 2θ, 2θ from 15° to 90°:
2θ 15.73, d 5.633, I = 99; 2θ 30.39, d 2.942, I = 73; 2θ 31.77, d 2.816, I = 100; 2θ 36.85, d 2.439, I = 84; 2θ 40.29, d 2.238, I = 84; 2θ 48.48, d 1.878, I = 63

```
AuSe6Br
1.0
0.0000 4.8783 4.8783
4.8783 0.0000 4.8783
4.8783 4.8783 0.0000
Au Se Br
1 6 1
direct
0.0000 0.0000 0.0000 Au
0.0539 0.0539 0.4461 Se
0.0539 0.4461 0.0539 Se
0.0539 0.4461 0.4461 Se
0.4461 0.0539 0.0539 Se
0.4461 0.0539 0.4461 Se
0.4461 0.4461 0.0539 Se
0.7500 0.7500 0.7500 Br
```

---

(11)
Theoretical X-ray diffraction stick pattern
Compound: Tc3IN
Radiation: CuKα
Structure: a PBE-relaxed structure

Largest 6 diffraction maxima, in order of rising 2θ, 2θ from 15° to 90°:
2θ 18.25, d 4.860, I = 92; 2θ 27.55, d 3.238, I = 100; 2θ 32.25, d 2.776, I = 75; 2θ 36.99, d 2.430, I = 67; 2θ 44.23, d 2.048, I = 77; 2θ 58.98, d 1.566, I = 65

```
Tc3IN
1.0
-3.2381 3.2381 4.8601
3.2381 -3.2381 4.8601
3.2381 3.2381 -4.8601
Tc I N
6 2 2
direct
0.1187 0.6187 0.7375 Tc
0.2500 0.2500 0.0000 Tc
0.3813 0.1187 0.5000 Tc
0.6187 0.8813 0.5000 Tc
0.7500 0.7500 0.0000 Tc
0.8813 0.3813 0.2625 Tc
0.0000 0.0000 0.0000 I
0.5000 0.5000 0.0000 I
0.2500 0.7500 0.5000 N
0.7500 0.2500 0.5000 N
```

---

(12)
Theoretical X-ray diffraction stick pattern
Compound: HoEr2Cu4Si2Ge2
Radiation: CuKα
Structure: a PBE-relaxed structure

Largest 6 diffraction maxima, in order of rising 2θ, 2θ from 15° to 90°:
2θ 28.68, d 3.112, I = 27; 2θ 35.49, d 2.529, I = 100; 2θ 36.71, d 2.448, I = 93; 2θ 39.38, d 2.288, I = 30; 2θ 44.01, d 2.058, I = 35; 2θ 45.79, d 1.982, I = 38

```
HoEr2Cu4Si2Ge2
1.0
-2.0576 3.2971 6.8692
2.0576 -3.2971 6.8692
2.0576 3.2971 -6.8692
Ho Er Cu Si Ge
1 2 4 2 2
direct
0.0000 0.0000 0.0000 Ho
0.3706 0.8706 0.5000 Er
0.6294 0.1294 0.5000 Er
0.0168 0.3256 0.6912 Cu
0.3655 0.6744 0.6912 Cu
0.6345 0.3256 0.3088 Cu
0.9832 0.6744 0.3088 Cu
0.2167 0.2167 0.0000 Si
0.7833 0.7833 0.0000 Si
0.3071 0.5000 0.8071 Ge
0.6929 0.5000 0.1929 Ge
```